# Ce2HfCd
Computed X-ray powder pattern, a wavelength of 1.5418 Å. Input: a GGA-PBE-relaxed structure.

The 10 most intense peaks (10 to 80 degrees two-theta), sorted by position:
Position (°2θ), I (rel.), h k l
20.03, 2, 1 0 0
33.73, 100, 1 1 1
35.86, 21, 0 0 2
40.71, 30, 2 0 0
55.35, 24, 2 0 2
58.93, 10, 2 2 0
63.09, 16, 1 1 3
69.65, 24, 3 1 1
70.94, 11, 2 2 2
76.01, 2, 0 0 4

Structure:
abc: 4.433 4.433 5.008
angles: 90.00 90.00 90.00
Space group P4/mmm (No. 123)
One atom of each set of equivalent atoms:
1 Ce 0.000 0.500 0.000 [2 per cell]
2 Hf 0.000 0.000 0.500 [1 per cell]
3 Cd 0.500 0.500 0.500 [1 per cell]


# Sc5TlHg6
Computed X-ray powder pattern, a wavelength of 1.5418 Å. Input: a GGA-PBE-relaxed structure.

The 10 most intense peaks (10 to 80 degrees two-theta), sorted by position:
Position (°2θ), I (rel.), h k l
24.36, 14, 0 2 0
25.46, 27, 1 0 3
35.52, 100, 1 2 3
36.17, 23, 0 0 6
36.46, 25, 2 0 0
49.91, 9, 0 4 0
52.30, 16, 2 0 6
64.64, 15, 1 2 9
65.01, 17, 3 2 3
75.20, 10, 2 4 6

Structure:
abc: 4.929 7.309 14.899
angles: 90.00 90.00 90.00
Space group Immm (No. 71)
One atom of each set of equivalent atoms:
1 Sc 0.000 0.000 0.000 [2 per cell]
2 Sc 0.000 0.000 0.348 [4 per cell]
3 Sc 0.000 0.500 0.327 [4 per cell]
4 Tl 0.000 0.500 0.000 [2 per cell]
5 Hg 0.000 0.235 0.176 [8 per cell]
6 Hg 0.000 0.275 0.500 [4 per cell]


# AcCuSiNi
Computed X-ray powder pattern, a wavelength of 1.5418 Å. Input: a GGA-PBE-relaxed structure.

The 10 most intense peaks (10 to 80 degrees two-theta), sorted by position:
Position (°2θ), I (rel.), h k l
25.64, 100, 1 0 1
27.46, 32, 0 1 2
33.84, 95, 0 0 6
37.97, 69, 0 1 5
44.06, 62, 1 1 0
56.70, 55, 1 1 6
59.54, 18, 2 0 5
64.25, 19, 1 0 10
70.37, 17, 0 1 11
76.96, 17, 1 2 5

Structure:
abc: 4.1109 4.1109 15.8736
angles: 90.00 90.00 120.00
Space group R3m (No. 160, hexagonal axes)
One atom of each set of equivalent atoms:
1 Ac 0.0000 0.0000 0.0000 [3 per cell]
2 Cu 0.0000 0.0000 0.1948 [3 per cell]
3 Si 0.0000 0.0000 0.4918 [3 per cell]
4 Ni 0.0000 0.0000 0.8058 [3 per cell]